[1]
This entry pairs a crystal structure of Li8Hg3Pd with its computed PXRD pattern. Radiation: copper Kα. Structure: a cell relaxed with PBE.
Peak positions follow from Bragg's law for the DFT cell and can differ from measured ones.

Cell and atoms:
Unit cell a=4.909 b=5.855 c=7.676 alpha=103.68 beta=98.62 gamma=102.17
Fractional positions:
Li 0.000 0.000 0.000
Li 0.000 0.337 0.318
Li 0.015 0.166 0.655
Li 0.460 0.876 0.149
Li 0.507 0.734 0.491
Li 0.510 0.405 0.143
Li 0.526 0.088 0.816
Li 0.532 0.561 0.824
Hg 0.045 0.682 0.688
Hg 0.507 0.239 0.475
Hg 0.969 0.814 0.309
Pd 0.012 0.466 0.989

Top 8 peaks for 2θ from 10° to 80°, sorted by position:
2θ (°)  I/Imax
12.14  75
21.52  100
25.03  90
25.29  97
27.99  72
37.94  53
38.05  50
38.42  98

---

[2]
This entry pairs a crystal structure of H2WBr8 with its computed PXRD pattern. Radiation: copper Kα. Structure: a cell relaxed with PBE.
Peak positions follow from Bragg's law for the DFT cell and can differ from measured ones.

Cell and atoms:
Unit cell a=7.324 b=7.324 c=10.309 alpha=117.52 beta=117.52 gamma=61.77
Fractional positions:
H 0.226 0.226 0.449
H 0.774 0.774 0.551
W 0.000 0.000 0.000
Br 0.006 0.006 0.761
Br 0.067 0.603 0.887
Br 0.362 0.362 0.546
Br 0.397 0.933 0.113
Br 0.603 0.067 0.887
Br 0.638 0.638 0.454
Br 0.933 0.397 0.113
Br 0.994 0.994 0.239

Top 8 peaks for 2θ from 10° to 80°, sorted by position:
2θ (°)  I/Imax
10.18  100
14.14  66
14.45  80
14.86  94
20.16  61
25.93  61
27.92  50
29.13  50

---

[3]
This entry pairs a crystal structure of Ce5Ge4 with its computed PXRD pattern. Radiation: copper Kα. Structure: a cell relaxed with PBE.
Peak positions follow from Bragg's law for the DFT cell and can differ from measured ones.

Cell and atoms:
Unit cell a=7.816 b=14.806 c=7.909 alpha=90.00 beta=90.00 gamma=90.00
Fractional positions:
Ce 0.021 0.101 0.186
Ce 0.021 0.399 0.186
Ce 0.112 0.618 0.334
Ce 0.112 0.882 0.334
Ce 0.200 0.250 0.504
Ce 0.300 0.750 0.004
Ce 0.388 0.118 0.834
Ce 0.388 0.382 0.834
Ce 0.479 0.601 0.686
Ce 0.479 0.899 0.686
Ce 0.521 0.101 0.314
Ce 0.521 0.399 0.314
Ce 0.612 0.618 0.166
Ce 0.612 0.882 0.166
Ce 0.700 0.250 0.996
Ce 0.800 0.750 0.496
Ce 0.888 0.118 0.666
Ce 0.888 0.382 0.666
Ce 0.979 0.601 0.814
Ce 0.979 0.899 0.814
Ge 0.082 0.250 0.894
Ge 0.181 0.750 0.636
Ge 0.222 0.041 0.532
Ge 0.222 0.459 0.532
Ge 0.278 0.541 0.032
Ge 0.278 0.959 0.032
Ge 0.319 0.250 0.136
Ge 0.418 0.750 0.394
Ge 0.582 0.250 0.606
Ge 0.681 0.750 0.864
Ge 0.722 0.041 0.968
Ge 0.722 0.459 0.968
Ge 0.778 0.541 0.468
Ge 0.778 0.959 0.468
Ge 0.819 0.250 0.364
Ge 0.918 0.750 0.106

Top 8 peaks for 2θ from 10° to 80°, sorted by position:
2θ (°)  I/Imax
31.16  100
31.31  41
32.21  49
33.15  59
33.34  47
35.27  55
36.31  29
36.45  78

---

[4]
This entry pairs a crystal structure of Ac2GaSi3 with its computed PXRD pattern. Radiation: copper Kα. Structure: a cell relaxed with PBE.
Peak positions follow from Bragg's law for the DFT cell and can differ from measured ones.

Cell and atoms:
Unit cell a=4.234 b=4.629 c=7.374 alpha=90.00 beta=90.00 gamma=90.00
Fractional positions:
Ac 0.000 0.000 0.000
Ac 0.500 0.000 0.490
Ga 0.000 0.500 0.662
Si 0.000 0.500 0.325
Si 0.500 0.500 0.164
Si 0.500 0.500 0.836

Top 8 peaks for 2θ from 10° to 80°, sorted by position:
2θ (°)  I/Imax
19.17  14
24.14  15
24.24  29
31.06  100
42.53  19
46.36  17
53.71  15
59.00  14

---

[5]
This entry pairs a crystal structure of Sr2HfSb4Pd3 with its computed PXRD pattern. Radiation: copper Kα. Structure: a cell relaxed with PBE.
Peak positions follow from Bragg's law for the DFT cell and can differ from measured ones.

Cell and atoms:
Unit cell a=4.580 b=4.580 c=11.839 alpha=90.00 beta=90.00 gamma=90.00
Fractional positions:
Sr 0.000 0.500 0.237
Sr 0.500 0.000 0.763
Hf 0.000 0.000 0.500
Sb 0.000 0.000 0.000
Sb 0.000 0.500 0.641
Sb 0.500 0.000 0.359
Sb 0.500 0.500 0.000
Pd 0.000 0.500 0.868
Pd 0.500 0.000 0.132
Pd 0.500 0.500 0.500

Top 8 peaks for 2θ from 10° to 80°, sorted by position:
2θ (°)  I/Imax
14.97  21
29.89  35
31.49  100
39.35  62
41.33  51
43.00  24
56.86  21
66.46  23

---

[6]
This entry pairs a crystal structure of Pr4Nd3Ga with its computed PXRD pattern. Radiation: copper Kα. Structure: a cell relaxed with PBE.
Peak positions follow from Bragg's law for the DFT cell and can differ from measured ones.

Cell and atoms:
Unit cell a=3.705 b=3.705 c=19.527 alpha=90.00 beta=90.00 gamma=90.00
Fractional positions:
Pr 0.000 0.000 0.095
Pr 0.000 0.000 0.365
Pr 0.000 0.000 0.635
Pr 0.000 0.000 0.905
Nd 0.500 0.500 0.232
Nd 0.500 0.500 0.500
Nd 0.500 0.500 0.768
Ga 0.500 0.500 0.000

Top 8 peaks for 2θ from 10° to 80°, sorted by position:
2θ (°)  I/Imax
27.70  16
30.28  100
34.22  45
47.62  15
49.18  16
57.57  14
58.85  30
79.05  11

---

[7]
This entry pairs a crystal structure of Pa2Ga4CuPd3 with its computed PXRD pattern. Radiation: copper Kα. Structure: a cell relaxed with PBE.
Peak positions follow from Bragg's law for the DFT cell and can differ from measured ones.

Cell and atoms:
Unit cell a=4.183 b=4.183 c=10.463 alpha=90.00 beta=90.00 gamma=90.00
Fractional positions:
Pa 0.000 0.500 0.246
Pa 0.500 0.000 0.754
Ga 0.000 0.000 0.500
Ga 0.000 0.500 0.872
Ga 0.500 0.000 0.128
Ga 0.500 0.500 0.500
Cu 0.500 0.500 0.000
Pd 0.000 0.000 0.000
Pd 0.000 0.500 0.639
Pd 0.500 0.000 0.361

Top 8 peaks for 2θ from 10° to 80°, sorted by position:
2θ (°)  I/Imax
30.22  26
33.45  72
34.85  100
43.26  53
48.65  34
55.77  34
67.12  26
73.91  22

---

[8]
This entry pairs a crystal structure of Rb2TlCd10 with its computed PXRD pattern. Radiation: copper Kα. Structure: a cell relaxed with PBE.
Peak positions follow from Bragg's law for the DFT cell and can differ from measured ones.

Cell and atoms:
Unit cell a=10.076 b=12.619 c=6.672 alpha=90.00 beta=90.00 gamma=90.00
Fractional positions:
Rb 0.247 0.053 0.000
Rb 0.253 0.553 0.000
Rb 0.747 0.447 0.000
Rb 0.753 0.947 0.000
Tl 0.000 0.000 0.500
Tl 0.500 0.500 0.500
Cd 0.052 0.615 0.500
Cd 0.076 0.799 0.216
Cd 0.076 0.799 0.784
Cd 0.175 0.203 0.500
Cd 0.225 0.429 0.500
Cd 0.275 0.929 0.500
Cd 0.325 0.703 0.500
Cd 0.424 0.299 0.216
Cd 0.424 0.299 0.784
Cd 0.448 0.115 0.500
Cd 0.552 0.885 0.500
Cd 0.576 0.701 0.216
Cd 0.576 0.701 0.784
Cd 0.675 0.297 0.500
Cd 0.725 0.071 0.500
Cd 0.775 0.571 0.500
Cd 0.825 0.797 0.500
Cd 0.924 0.201 0.216
Cd 0.924 0.201 0.784
Cd 0.948 0.385 0.500

Top 8 peaks for 2θ from 10° to 80°, sorted by position:
2θ (°)  I/Imax
13.27  100
26.28  31
30.31  32
32.63  45
33.02  53
35.48  28
36.37  32
36.74  60

---

[9]
This entry pairs a crystal structure of CsHg6F8 with its computed PXRD pattern. Radiation: copper Kα. Structure: a cell relaxed with PBE.
Peak positions follow from Bragg's law for the DFT cell and can differ from measured ones.

Cell and atoms:
Unit cell a=8.178 b=8.178 c=8.178 alpha=49.57 beta=49.57 gamma=49.57
Fractional positions:
Cs 0.000 0.000 0.000
Hg 0.038 0.622 0.622
Hg 0.378 0.378 0.962
Hg 0.378 0.962 0.378
Hg 0.622 0.038 0.622
Hg 0.622 0.622 0.038
Hg 0.962 0.378 0.378
F 0.180 0.733 0.733
F 0.267 0.267 0.820
F 0.267 0.820 0.267
F 0.370 0.370 0.370
F 0.630 0.630 0.630
F 0.733 0.180 0.733
F 0.733 0.733 0.180
F 0.820 0.267 0.267

Top 8 peaks for 2θ from 10° to 80°, sorted by position:
2θ (°)  I/Imax
22.33  59
24.88  53
25.60  32
30.40  100
36.79  50
47.67  32
50.39  26
52.61  28

---

Question: What is the formula in the seventh record?
Answer: Pa2Ga4CuPd3